Simulated powder diffraction line list
Compound: Li3FeO4
Radiation: copper Kα
Structure: DFT lattice parameters and positions (PBE+U)
Lines closer than 0.1° are merged.

Crystal structure
abc: 2.892 5.039 5.041
angles: 72.51 89.81 89.62
Sites, in units of the cell vectors:
Li1 0.000 0.000 0.000
Li2 0.002 0.495 0.500
Li3 0.498 0.994 0.493
Fe1 0.498 0.502 0.998
O1 0.494 0.729 0.228
O2 0.503 0.271 0.771
O3 0.995 0.730 0.768
O4 0.999 0.271 0.230

The 10 most intense peaks (10° ≤ 2θ ≤ 90°), most intense first:
- 18.46 deg, intensity 100.0
- 21.87 deg, intensity 25.4
- 43.55 deg, intensity 23.6
- 43.68 deg, intensity 23.4
- 44.59 deg, intensity 20.7
- 36.19 deg, intensity 13.4
- 36.32 deg, intensity 12.5
- 64.41 deg, intensity 11.6
- 63.98 deg, intensity 11.3
- 29.98 deg, intensity 11.2

Simulated powder diffraction line list
Compound: Li9Mn2Co5O16
Radiation: copper Kα
Structure: DFT lattice parameters and positions (PBE+U)
Lines closer than 0.1° are merged.

Crystal structure
abc: 5.103 5.103 20.759
angles: 98.05 98.05 32.81
Sites, in units of the cell vectors:
Li1 0.000 0.000 0.000
Li2 0.006 0.006 0.507
Li3 0.252 0.252 0.688
Li4 0.492 0.492 0.876
Li5 0.498 0.498 0.372
Li6 0.500 0.500 0.123
Li7 0.501 0.501 0.633
Li8 0.992 0.992 0.747
Li9 0.995 0.995 0.252
Mn1 0.251 0.251 0.440
Mn2 0.761 0.761 0.572
Co1 0.249 0.249 0.187
Co2 0.256 0.256 0.938
Co3 0.736 0.736 0.804
Co4 0.745 0.745 0.062
Co5 0.748 0.748 0.312
O1 0.128 0.128 0.093
O2 0.130 0.130 0.341
O3 0.143 0.143 0.592
O4 0.143 0.143 0.844
O5 0.357 0.357 0.787
O6 0.364 0.364 0.033
O7 0.366 0.366 0.284
O8 0.369 0.369 0.538
O9 0.625 0.625 0.727
O10 0.637 0.637 0.969
O11 0.642 0.642 0.218
O12 0.645 0.645 0.474
O13 0.858 0.858 0.157
O14 0.864 0.864 0.409
O15 0.867 0.867 0.651
O16 0.869 0.869 0.910

The 10 most intense peaks (10° ≤ 2θ ≤ 90°), most intense first:
- 18.32 deg, intensity 100.0
- 44.05 deg, intensity 54.0
- 62.63 deg, intensity 29.8
- 42.18 deg, intensity 29.5
- 36.28 deg, intensity 25.1
- 34.95 deg, intensity 15.9
- 58.00 deg, intensity 9.5
- 47.40 deg, intensity 9.3
- 37.15 deg, intensity 8.0
- 64.68 deg, intensity 7.4

Simulated powder diffraction line list
Compound: Li2Cr3SbO8
Radiation: copper Kα
Structure: DFT lattice parameters and positions (PBE+U)
Lines closer than 0.1° are merged.

Crystal structure
abc: 8.541 8.541 8.541
angles: 90.00 90.00 90.00
Sites, in units of the cell vectors:
Li1 0.003 0.497 0.503
Li2 0.247 0.747 0.753
Li3 0.253 0.253 0.253
Li4 0.497 0.503 0.003
Li5 0.503 0.003 0.497
Li6 0.747 0.753 0.247
Li7 0.753 0.247 0.747
Li8 0.997 0.997 0.997
Cr1 0.121 0.129 0.625
Cr2 0.125 0.379 0.871
Cr3 0.129 0.625 0.121
Cr4 0.371 0.375 0.621
Cr5 0.375 0.621 0.371
Cr6 0.379 0.871 0.125
Cr7 0.621 0.371 0.375
Cr8 0.625 0.121 0.129
Cr9 0.629 0.875 0.879
Cr10 0.871 0.125 0.379
Cr11 0.875 0.879 0.629
Cr12 0.879 0.629 0.875
Sb1 0.125 0.875 0.375
Sb2 0.375 0.125 0.875
Sb3 0.625 0.625 0.625
Sb4 0.875 0.375 0.125
O1 0.112 0.387 0.113
O2 0.112 0.612 0.888
O3 0.113 0.112 0.387
O4 0.113 0.887 0.612
O5 0.137 0.638 0.363
O6 0.137 0.863 0.138
O7 0.138 0.137 0.863
O8 0.138 0.362 0.638
O9 0.362 0.638 0.138
O10 0.362 0.863 0.363
O11 0.363 0.137 0.638
O12 0.363 0.362 0.863
O13 0.387 0.113 0.112
O14 0.387 0.888 0.887
O15 0.388 0.388 0.388
O16 0.388 0.613 0.613
O17 0.612 0.113 0.887
O18 0.612 0.888 0.112
O19 0.613 0.388 0.613
O20 0.613 0.613 0.388
O21 0.637 0.637 0.862
O22 0.637 0.862 0.637
O23 0.638 0.138 0.362
O24 0.638 0.363 0.137
O25 0.862 0.637 0.637
O26 0.862 0.862 0.862
O27 0.863 0.138 0.137
O28 0.863 0.363 0.362
O29 0.887 0.387 0.888
O30 0.887 0.612 0.113
O31 0.888 0.112 0.612
O32 0.888 0.887 0.387

The 10 most intense peaks (10° ≤ 2θ ≤ 90°), most intense first:
- 17.99 deg, intensity 100.0
- 42.33 deg, intensity 52.9
- 34.84 deg, intensity 49.8
- 61.41 deg, intensity 32.3
- 55.94 deg, intensity 20.4
- 36.44 deg, intensity 17.1
- 64.55 deg, intensity 15.1
- 23.29 deg, intensity 15.0
- 46.34 deg, intensity 12.7
- 14.67 deg, intensity 8.9

Simulated powder diffraction line list
Compound: P2W2O11
Radiation: copper Kα
Structure: DFT lattice parameters and positions (PBE+U)
Lines closer than 0.1° are merged.

Crystal structure
abc: 7.983 12.739 8.000
angles: 90.00 92.26 90.00
Sites, in units of the cell vectors:
P1 0.072 0.000 0.344
P2 0.251 0.246 0.618
P3 0.251 0.753 0.612
P4 0.254 0.501 0.106
P5 0.746 0.001 0.894
P6 0.749 0.253 0.388
P7 0.749 0.746 0.382
P8 0.928 0.500 0.656
W1 0.149 0.752 0.191
W2 0.152 0.247 0.194
W3 0.361 0.999 0.690
W4 0.363 0.500 0.694
W5 0.637 0.000 0.306
W6 0.639 0.499 0.310
W7 0.848 0.747 0.806
W8 0.851 0.252 0.809
O1 0.000 0.249 0.003
O2 0.000 0.749 0.997
O3 0.076 0.224 0.674
O4 0.076 0.774 0.669
O5 0.102 0.098 0.235
O6 0.102 0.902 0.235
O7 0.104 0.501 0.591
O8 0.169 0.596 0.188
O9 0.173 0.402 0.181
O10 0.205 0.002 0.491
O11 0.209 0.996 0.839
O12 0.227 0.505 0.916
O13 0.257 0.256 0.425
O14 0.257 0.744 0.419
O15 0.327 0.345 0.700
O16 0.331 0.775 0.087
O17 0.334 0.655 0.691
O18 0.335 0.222 0.093
O19 0.371 0.846 0.661
O20 0.372 0.154 0.668
O21 0.443 0.499 0.483
O22 0.445 0.500 0.151
O23 0.450 0.997 0.189
O24 0.550 0.497 0.811
O25 0.555 0.000 0.849
O26 0.557 0.999 0.517
O27 0.628 0.654 0.332
O28 0.629 0.346 0.339
O29 0.665 0.722 0.907
O30 0.666 0.155 0.309
O31 0.669 0.275 0.913
O32 0.673 0.845 0.300
O33 0.743 0.244 0.581
O34 0.743 0.756 0.575
O35 0.773 0.005 0.084
O36 0.791 0.496 0.161
O37 0.795 0.502 0.509
O38 0.827 0.902 0.819
O39 0.831 0.096 0.812
O40 0.896 0.001 0.409
O41 0.898 0.402 0.765
O42 0.898 0.598 0.765
O43 0.924 0.274 0.331
O44 0.924 0.724 0.326

The 10 most intense peaks (10° ≤ 2θ ≤ 90°), most intense first:
- 17.82 deg, intensity 100.0
- 24.54 deg, intensity 81.2
- 25.34 deg, intensity 74.8
- 28.02 deg, intensity 70.5
- 20.79 deg, intensity 67.9
- 21.26 deg, intensity 56.3
- 22.25 deg, intensity 56.1
- 36.59 deg, intensity 35.2
- 37.58 deg, intensity 31.4
- 38.13 deg, intensity 26.6

Simulated powder diffraction line list
Compound: Ti3V2SbP6O24
Radiation: copper Kα
Structure: DFT lattice parameters and positions (PBE+U)
Lines closer than 0.1° are merged.

Crystal structure
abc: 8.688 8.688 8.688
angles: 60.80 60.80 60.80
Sites, in units of the cell vectors:
Ti1 0.000 0.000 0.000
Ti2 0.209 0.209 0.209
Ti3 0.708 0.708 0.708
V1 0.352 0.352 0.352
V2 0.855 0.855 0.855
Sb1 0.501 0.501 0.501
P1 0.093 0.816 0.397
P2 0.301 0.605 0.910
P3 0.397 0.093 0.816
P4 0.605 0.910 0.301
P5 0.816 0.397 0.093
P6 0.910 0.301 0.605
O1 0.017 0.875 0.243
O2 0.102 0.290 0.445
O3 0.110 0.767 0.930
O4 0.166 0.968 0.355
O5 0.243 0.017 0.875
O6 0.244 0.622 0.401
O7 0.290 0.445 0.102
O8 0.319 0.542 0.765
O9 0.355 0.166 0.968
O10 0.401 0.244 0.622
O11 0.445 0.102 0.290
O12 0.469 0.663 0.854
O13 0.542 0.765 0.319
O14 0.592 0.936 0.802
O15 0.622 0.401 0.244
O16 0.663 0.854 0.469
O17 0.765 0.319 0.542
O18 0.767 0.930 0.110
O19 0.802 0.592 0.936
O20 0.854 0.469 0.663
O21 0.875 0.243 0.017
O22 0.930 0.110 0.767
O23 0.936 0.802 0.592
O24 0.968 0.355 0.166

The 10 most intense peaks (10° ≤ 2θ ≤ 90°), most intense first:
- 23.85 deg, intensity 100.0
- 20.20 deg, intensity 83.0
- 32.56 deg, intensity 75.3
- 35.36 deg, intensity 40.4
- 48.82 deg, intensity 29.9
- 46.65 deg, intensity 25.7
- 55.28 deg, intensity 23.1
- 61.71 deg, intensity 21.3
- 20.45 deg, intensity 19.2
- 31.36 deg, intensity 15.5

Simulated powder diffraction line list
Compound: Li4V2Ni3Sn3O16
Radiation: copper Kα
Structure: DFT lattice parameters and positions (PBE+U)
Lines closer than 0.1° are merged.

Crystal structure
abc: 6.093 6.093 9.610
angles: 90.12 90.12 59.76
Sites, in units of the cell vectors:
Li1 0.000 0.000 0.000
Li2 0.008 0.008 0.483
Li3 0.309 0.309 0.399
Li4 0.658 0.658 0.905
V1 0.315 0.315 0.999
V2 0.631 0.631 0.474
Ni1 0.165 0.165 0.716
Ni2 0.330 0.815 0.211
Ni3 0.815 0.330 0.211
Sn1 0.158 0.653 0.715
Sn2 0.653 0.158 0.715
Sn3 0.815 0.815 0.216
O1 0.039 0.471 0.853
O2 0.165 0.635 0.087
O3 0.171 0.171 0.088
O4 0.324 0.324 0.600
O5 0.346 0.812 0.587
O6 0.471 0.039 0.853
O7 0.477 0.477 0.844
O8 0.503 0.503 0.357
O9 0.509 0.939 0.355
O10 0.635 0.165 0.087
O11 0.654 0.654 0.106
O12 0.812 0.346 0.587
O13 0.836 0.836 0.592
O14 0.939 0.509 0.355
O15 0.990 0.990 0.296
O16 0.999 0.999 0.812

The 10 most intense peaks (10° ≤ 2θ ≤ 90°), most intense first:
- 19.21 deg, intensity 100.0
- 18.46 deg, intensity 87.3
- 44.55 deg, intensity 65.9
- 35.36 deg, intensity 60.0
- 25.07 deg, intensity 37.1
- 59.55 deg, intensity 36.2
- 32.71 deg, intensity 32.8
- 35.23 deg, intensity 32.7
- 39.02 deg, intensity 28.3
- 34.87 deg, intensity 26.9